Entry 1:
Diffraction record for Ac7Pm12Nd. The powder X-ray diffraction pattern is computed, not measured: it uses a GGA-PBE-relaxed structure and Cu Kα.
Lines closer than 0.1° are merged.

Cell and atoms:
```
20
Lattice="-6.0811 6.0811 6.0811 6.0811 -6.0811 6.0811 6.0811 6.0811 -6.0811" Properties=species:S:1:pos:R:3 pbc="T T T"
Ac 3.0406 3.0406 -3.0406
Ac 3.0406 -3.0406 3.0406
Ac 6.0811 0.0000 0.0000
Ac -3.0406 3.0406 3.0406
Ac 0.0000 6.0811 0.0000
Ac 0.0000 0.0000 6.0811
Ac 3.0406 3.0406 3.0406
Pm 6.0811 3.1342 -3.1342
Pm 6.0811 -3.1342 3.1342
Pm 3.1342 6.0811 -3.1342
Pm 2.9469 2.9469 0.0000
Pm 2.9469 0.0000 2.9469
Pm 3.1342 -3.1342 6.0811
Pm 0.0000 2.9469 2.9469
Pm 6.0811 3.1342 3.1342
Pm -3.1342 6.0811 3.1342
Pm -3.1342 3.1342 6.0811
Pm 3.1342 6.0811 3.1342
Pm 3.1342 3.1342 6.0811
Nd 0.0000 0.0000 0.0000
```

Main lines, low angle first (10° ≤ 2θ ≤ 90°):
- d 4.300, 20.7 deg, I = 47.4
- d 3.511, 25.4 deg, I = 46.3
- d 3.041, 29.4 deg, I = 100.0
- d 2.483, 36.2 deg, I = 24.8
- d 2.150, 42.0 deg, I = 75.6
- d 1.755, 52.1 deg, I = 26.8
- d 1.360, 69.1 deg, I = 33.9
- d 1.241, 76.8 deg, I = 25.0

Entry 2:
Diffraction record for ZnHg5. The powder X-ray diffraction pattern is computed, not measured: it uses a GGA-PBE-relaxed structure and Cu Kα.
Lines closer than 0.1° are merged.

Cell and atoms:
```
12
Lattice="10.3360 0.0000 0.0000 0.0000 3.7276 0.0000 0.0000 0.0000 7.8318" Properties=species:S:1:pos:R:3 pbc="T T T"
Zn 2.5840 0.0000 1.3130
Zn 7.7520 0.0000 6.5189
Hg 0.0000 0.0000 0.0000
Hg 0.5573 1.8638 2.5338
Hg 2.5840 0.0000 4.3484
Hg 2.5840 1.8638 6.8049
Hg 4.6107 1.8638 2.5338
Hg 5.1680 0.0000 0.0000
Hg 5.7254 1.8638 5.2980
Hg 7.7520 0.0000 3.4834
Hg 7.7520 1.8638 1.0269
Hg 9.7787 1.8638 5.2980
```

Main lines, low angle first (10° ≤ 2θ ≤ 90°):
- d 3.154, 28.3 deg, I = 35.3
- d 2.820, 31.7 deg, I = 100.0
- d 2.700, 33.2 deg, I = 37.2
- d 2.612, 34.3 deg, I = 54.3
- d 2.585, 34.7 deg, I = 35.7
- d 2.408, 37.3 deg, I = 32.8
- d 2.330, 38.6 deg, I = 52.7
- d 1.865, 48.8 deg, I = 33.9

Entry 3:
Diffraction record for Zr3Zn2Ni3. The powder X-ray diffraction pattern is computed, not measured: it uses a GGA-PBE-relaxed structure and Cu Kα.
Lines closer than 0.1° are merged.

Cell and atoms:
```
16
Lattice="7.6282 0.0000 0.0000 -3.8141 6.6062 0.0000 0.0000 0.0000 5.1144" Properties=species:S:1:pos:R:3 pbc="T T T"
Zr -0.9994 1.7311 1.2786
Zr -2.8147 4.8752 3.8358
Zr 1.9989 0.0000 1.2786
Zr 0.9994 1.7311 3.8358
Zr 5.6294 0.0000 3.8358
Zr 2.8147 4.8752 1.2786
Zn 0.0000 4.4042 0.0000
Zn 0.0000 4.4042 2.5572
Zn 3.8141 2.2021 0.0000
Zn 3.8141 2.2021 2.5572
Ni -1.5086 2.6130 3.8358
Ni -2.3055 3.9932 1.2786
Ni 3.0173 0.0000 3.8358
Ni 1.5086 2.6130 1.2786
Ni 4.6110 0.0000 1.2786
Ni 2.3055 3.9932 3.8358
```

Main lines, low angle first (10° ≤ 2θ ≤ 90°):
- d 2.557, 35.1 deg, I = 21.1
- d 2.497, 36.0 deg, I = 27.3
- d 2.244, 40.2 deg, I = 100.0
- d 2.202, 41.0 deg, I = 57.4
- d 2.124, 42.6 deg, I = 74.7
- d 1.725, 53.1 deg, I = 16.5
- d 1.529, 60.6 deg, I = 15.2
- d 1.408, 66.4 deg, I = 21.2